1.
Theoretical X-ray diffraction stick pattern of CeEuSnAu for copper Kα, from a GGA-PBE-relaxed structure.

Largest 10 diffraction maxima, in order of rising 2θ, 2θ = 15–90°:
Position (°2θ)	d (Å)	Rel. int.
20.07	4.425	3.5
33.06	2.710	100.0
38.97	2.311	2.1
47.45	1.916	18.4
52.01	1.758	0.9
59.04	1.565	38.4
63.02	1.475	0.7
69.36	1.355	12.0
79.01	1.212	16.9
88.35	1.106	4.4

Crystal structure
a = 5.420 Å, b = 5.420 Å, c = 5.420 Å
α = 60.00°, β = 60.00°, γ = 60.00°
Fractional coordinates of all 4 atoms:
Ce  0.000  0.000  0.000
Eu  0.500  0.500  0.500
Sn  0.250  0.250  0.250
Au  0.750  0.750  0.750



2.
Theoretical X-ray diffraction stick pattern of RbPr2NpS5 for copper Kα, from a GGA-PBE-relaxed structure.

Largest 10 diffraction maxima, in order of rising 2θ, 2θ = 15–90°:
Position (°2θ)	d (Å)	Rel. int.
24.45	3.641	24.0
24.88	3.578	100.0
25.18	3.536	12.6
34.00	2.637	17.3
35.39	2.537	25.3
35.57	2.524	21.6
35.88	2.503	28.1
43.30	2.090	25.1
50.06	1.822	19.5
51.05	1.789	17.4

Crystal structure
a = 8.346 Å, b = 8.346 Å, c = 8.346 Å
α = 144.79°, β = 128.27°, γ = 64.12°
Fractional coordinates of all 9 atoms:
Rb  0.000  0.000  0.000
Pr  0.293  0.793  0.500
Pr  0.707  0.207  0.500
Np  0.500  0.500  0.000
S  0.115  0.348  0.767
S  0.419  0.652  0.767
S  0.500  0.000  0.500
S  0.581  0.348  0.233
S  0.885  0.652  0.233



3.
Theoretical X-ray diffraction stick pattern of Ba3Sr8 for copper Kα, from a GGA-PBE-relaxed structure.

Largest 10 diffraction maxima, in order of rising 2θ, 2θ = 15–90°:
Position (°2θ)	d (Å)	Rel. int.
18.64	4.760	10.9
21.04	4.223	13.2
22.84	3.894	9.9
24.22	3.674	100.0
26.16	3.406	22.4
28.77	3.103	10.1
33.49	2.676	23.7
35.49	2.529	33.3
39.75	2.268	10.8
49.69	1.835	11.2

Crystal structure
a = 8.496 Å, b = 8.496 Å, c = 8.496 Å
α = 85.41°, β = 85.41°, γ = 85.41°
Fractional coordinates of all 11 atoms:
Ba  0.000  0.500  0.500
Ba  0.500  0.000  0.500
Ba  0.500  0.500  0.000
Sr  0.106  0.698  0.862
Sr  0.138  0.894  0.302
Sr  0.302  0.138  0.894
Sr  0.388  0.388  0.388
Sr  0.612  0.612  0.612
Sr  0.698  0.862  0.106
Sr  0.862  0.106  0.698
Sr  0.894  0.302  0.138



4.
Theoretical X-ray diffraction stick pattern of Cd5Se4S for copper Kα, from a GGA-PBE-relaxed structure.

Largest 10 diffraction maxima, in order of rising 2θ, 2θ = 15–90°:
Position (°2θ)	d (Å)	Rel. int.
23.65	3.762	100.0
25.11	3.547	57.8
26.83	3.323	83.6
34.76	2.581	38.2
41.58	2.172	87.2
45.30	2.002	79.8
49.19	1.852	53.4
63.17	1.472	28.5
71.01	1.327	17.1
78.50	1.218	30.3

Crystal structure
a = 4.344 Å, b = 4.344 Å, c = 35.467 Å
α = 90.00°, β = 90.00°, γ = 120.00°
Fractional coordinates of all 20 atoms:
Cd  0.000  0.000  0.000
Cd  0.000  0.000  0.195
Cd  0.000  0.000  0.390
Cd  0.000  0.000  0.594
Cd  0.000  0.000  0.797
Cd  0.333  0.667  0.094
Cd  0.333  0.667  0.289
Cd  0.333  0.667  0.492
Cd  0.333  0.667  0.695
Cd  0.333  0.667  0.898
Se  0.000  0.000  0.466
Se  0.000  0.000  0.669
Se  0.000  0.000  0.872
Se  0.333  0.667  0.169
Se  0.333  0.667  0.365
Se  0.333  0.667  0.568
Se  0.333  0.667  0.771
Se  0.333  0.667  0.974
S  0.000  0.000  0.073
S  0.000  0.000  0.268